[1]
The following is a theoretical powder X-ray diffraction pattern of Zr6Be15Co8. It was derived from a PBE-relaxed structure, using Cu Kα X-rays.
Intensities are scaled so that the largest is 100.

Most intense lines, 10° ≤ 2θ ≤ 90°, by angle:
d = 5.502 Å, rel. 24; d = 3.890 Å, rel. 14; d = 3.318 Å, rel. 17; d = 3.177 Å, rel. 68; d = 2.524 Å, rel. 66; d = 2.246 Å, rel. 19; d = 2.118 Å, rel. 63; d = 1.945 Å, rel. 100; d = 1.344 Å, rel. 24; d = 1.123 Å, rel. 16

Cell and atoms:
Cell: 7.781 7.781 7.781 Å, 60.00 60.00 60.00°
Fractional positions:
Zr 0.212 0.212 0.788
Zr 0.212 0.788 0.212
Zr 0.212 0.788 0.788
Zr 0.788 0.212 0.212
Zr 0.788 0.212 0.788
Zr 0.788 0.788 0.212
Be 0.000 0.000 0.500
Be 0.000 0.500 0.000
Be 0.000 0.500 0.500
Be 0.179 0.179 0.179
Be 0.179 0.179 0.464
Be 0.179 0.464 0.179
Be 0.464 0.179 0.179
Be 0.500 0.000 0.000
Be 0.500 0.000 0.500
Be 0.500 0.500 0.000
Be 0.500 0.500 0.500
Be 0.536 0.821 0.821
Be 0.821 0.536 0.821
Be 0.821 0.821 0.536
Be 0.821 0.821 0.821
Co 0.125 0.625 0.625
Co 0.375 0.375 0.375
Co 0.375 0.375 0.875
Co 0.375 0.875 0.375
Co 0.625 0.125 0.625
Co 0.625 0.625 0.125
Co 0.625 0.625 0.625
Co 0.875 0.375 0.375

***

[2]
The following is a theoretical powder X-ray diffraction pattern of BeCr3. It was derived from a PBE-relaxed structure, using Cu Kα X-rays.
Intensities are scaled so that the largest is 100.

Most intense lines, 10° ≤ 2θ ≤ 90°, by angle:
d = 3.511 Å, rel. 30; d = 2.483 Å, rel. 23; d = 2.027 Å, rel. 100; d = 1.756 Å, rel. 45; d = 1.570 Å, rel. 10; d = 1.433 Å, rel. 7; d = 1.241 Å, rel. 25; d = 1.170 Å, rel. 4; d = 1.110 Å, rel. 3

Cell and atoms:
Cell: 3.511 3.511 3.511 Å, 90.00 90.00 90.00°
Fractional positions:
Be 0.000 0.000 0.000
Cr 0.000 0.500 0.500
Cr 0.500 0.000 0.500
Cr 0.500 0.500 0.000

***

[3]
The following is a theoretical powder X-ray diffraction pattern of Be12Cr. It was derived from a PBE-relaxed structure, using Cu Kα X-rays.
Intensities are scaled so that the largest is 100.

Most intense lines, 10° ≤ 2θ ≤ 90°, by angle:
d = 5.087 Å, rel. 100; d = 3.597 Å, rel. 31; d = 3.577 Å, rel. 80; d = 2.543 Å, rel. 20; d = 2.536 Å, rel. 86; d = 2.275 Å, rel. 34; d = 2.073 Å, rel. 47; d = 1.797 Å, rel. 95; d = 1.788 Å, rel. 40; d = 1.528 Å, rel. 17

Cell and atoms:
Cell: 5.489 5.489 5.489 Å, 98.11 98.11 135.88°
Fractional positions:
Be 0.000 0.000 0.500
Be 0.000 0.211 0.211
Be 0.000 0.500 0.000
Be 0.000 0.789 0.789
Be 0.152 0.500 0.652
Be 0.211 0.000 0.211
Be 0.500 0.000 0.000
Be 0.500 0.152 0.652
Be 0.500 0.500 0.500
Be 0.500 0.848 0.348
Be 0.789 0.000 0.789
Be 0.848 0.500 0.348
Cr 0.500 0.500 0.000

***

[4]
The following is a theoretical powder X-ray diffraction pattern of Be2Cr. It was derived from a PBE-relaxed structure, using Cu Kα X-rays.
Intensities are scaled so that the largest is 100.

Most intense lines, 10° ≤ 2θ ≤ 90°, by angle:
d = 3.636 Å, rel. 77; d = 3.455 Å, rel. 48; d = 3.218 Å, rel. 47; d = 2.505 Å, rel. 35; d = 2.099 Å, rel. 92; d = 1.946 Å, rel. 100; d = 1.794 Å, rel. 75; d = 1.758 Å, rel. 22; d = 1.427 Å, rel. 18; d = 1.180 Å, rel. 32

Cell and atoms:
Cell: 4.199 4.199 6.911 Å, 90.00 90.00 120.00°
Fractional positions:
Be 0.000 0.000 0.000
Be 0.000 0.000 0.500
Be 0.170 0.340 0.250
Be 0.170 0.830 0.250
Be 0.340 0.170 0.750
Be 0.660 0.830 0.250
Be 0.830 0.170 0.750
Be 0.830 0.660 0.750
Cr 0.333 0.667 0.561
Cr 0.333 0.667 0.939
Cr 0.667 0.333 0.061
Cr 0.667 0.333 0.439